Structure and calculated powder X-ray diffraction pattern of MnPb2WO6 (DFT lattice parameters and positions (GGA+U); CuKα).

Atomic structure:
Cell: 5.8003 5.8068 10.0528 Å, 73.31 73.25 60.07°
Positions (direct):
1 Mn 0.2502 0.2502 0.2499
2 Mn 0.7498 0.7498 0.7501
3 Pb 0.1251 0.1251 0.6247
4 Pb 0.3744 0.3752 0.8747
5 Pb 0.6256 0.6248 0.1253
6 Pb 0.8749 0.8749 0.3753
7 W 0.0000 0.0000 0.0000
8 W 0.5000 0.5000 0.5000
9 O 0.1175 0.6446 0.1188
10 O 0.1200 0.1184 0.1186
11 O 0.1430 0.6197 0.6188
12 O 0.3561 0.8817 0.8811
13 O 0.3809 0.3807 0.3814
14 O 0.3811 0.8562 0.3811
15 O 0.6189 0.1438 0.6189
16 O 0.6191 0.6193 0.6186
17 O 0.6439 0.1183 0.1189
18 O 0.8570 0.3803 0.3812
19 O 0.8800 0.8816 0.8814
20 O 0.8825 0.3554 0.8812

Top 6 peaks for 10° ≤ 2θ ≤ 90°, sorted by position:
2θ (°), d [Å], intensity, h k l
30.80, 2.903, 100, 2 1 1
44.12, 2.053, 27, 2 2 4
54.77, 1.676, 41, 3 3 2
64.15, 1.452, 14, 2 4 2
72.91, 1.298, 12, 4 3 5
89.32, 1.097, 12, 5 4 3